Theoretical powder XRD pattern of Pr4SmDyS8 for λ = 1.5418 Å (Cu Kα), from a DFT-relaxed cell (GGA-PBE, Alexandria).

Cell and atoms:
a b c (Å): 8.3197 8.3197 8.3197
angles (deg): 60.14 60.14 60.14
Element x y z (fractional)
Pr  0.0000  0.0000  0.0000
Pr  0.3773  0.3773  0.8705
Pr  0.3773  0.8705  0.3773
Pr  0.8705  0.3773  0.3773
Sm  0.3772  0.3772  0.3772
Dy  0.7509  0.7509  0.7509
S  0.1335  0.1335  0.1335
S  0.1364  0.6189  0.6189
S  0.1375  0.1375  0.5981
S  0.1375  0.5981  0.1375
S  0.5981  0.1375  0.1375
S  0.6189  0.1364  0.6189
S  0.6189  0.6189  0.1364
S  0.6230  0.6230  0.6230

Principal peaks in the range 2θ = 5–70°, by angle:
two_theta	Rel. int.
21.3	28
25.1	100
26.2	11
30.4	18
37.4	10
39.8	41
43.5	59
50.8	11
60.3	19
60.5	6
63.2	9
69.0	8